# 1
Diffraction record for ErIn6Ni4. The powder diffraction line list is simulated, not measured: it uses DFT lattice parameters and positions (GGA-PBE) and Cu Kα X-rays.

Principal peaks in the range 2θ from 15° to 90°, low angle first:
- 2θ 30.91, I 23
- 2θ 31.32, I 84
- 2θ 32.61, I 100
- 2θ 38.06, I 42
- 2θ 41.27, I 65
- 2θ 41.59, I 41
- 2θ 42.13, I 38
- 2θ 42.76, I 23
- 2θ 54.40, I 30
- 2θ 64.38, I 35

Cell and atoms:
Lattice parameters (Å, degrees): 6.747 6.747 6.747 120.59 120.59 88.98
Atoms (fractional coordinates):
Er 0.000 0.000 0.000
In 0.000 0.500 0.500
In 0.109 0.465 0.000
In 0.465 0.109 0.000
In 0.500 0.000 0.500
In 0.535 0.535 0.644
In 0.891 0.891 0.356
Ni 0.266 0.266 0.667
Ni 0.401 0.734 0.000
Ni 0.599 0.599 0.333
Ni 0.734 0.401 0.000

***

# 2
Diffraction record for La3Pm2NdTe6. The powder diffraction line list is simulated, not measured: it uses DFT lattice parameters and positions (GGA-PBE) and Cu Kα X-rays.

Principal peaks in the range 2θ from 15° to 90°, low angle first:
- 2θ 27.86, I 100
- 2θ 39.73, I 38
- 2θ 39.89, I 38
- 2θ 49.08, I 7
- 2θ 49.35, I 20
- 2θ 57.56, I 13
- 2θ 65.02, I 18
- 2θ 65.25, I 18
- 2θ 72.32, I 13
- 2θ 72.43, I 6

Cell and atoms:
Lattice parameters (Å, degrees): 10.107 10.107 9.080 102.66 102.66 25.86
Atoms (fractional coordinates):
La 0.000 0.000 0.000
La 0.334 0.334 0.667
La 0.666 0.666 0.333
Pm 0.333 0.333 0.167
Pm 0.667 0.667 0.833
Nd 0.000 0.000 0.500
Te 0.166 0.166 0.587
Te 0.168 0.168 0.079
Te 0.498 0.498 0.252
Te 0.502 0.502 0.748
Te 0.832 0.832 0.921
Te 0.834 0.834 0.413

***

# 3
Diffraction record for Nb6InB. The powder diffraction line list is simulated, not measured: it uses DFT lattice parameters and positions (GGA-PBE) and Cu Kα X-rays.

Principal peaks in the range 2θ from 15° to 90°, low angle first:
- 2θ 34.95, I 100
- 2θ 35.05, I 24
- 2θ 36.82, I 63
- 2θ 37.36, I 53
- 2θ 37.87, I 15
- 2θ 40.19, I 35
- 2θ 41.81, I 42
- 2θ 43.53, I 30
- 2θ 58.95, I 20
- 2θ 67.59, I 16

Cell and atoms:
Lattice parameters (Å, degrees): 5.039 5.458 5.465 98.95 101.25 101.36
Atoms (fractional coordinates):
Nb 0.110 0.226 0.225
Nb 0.265 0.431 0.806
Nb 0.266 0.806 0.433
Nb 0.734 0.194 0.567
Nb 0.735 0.569 0.194
Nb 0.890 0.774 0.775
In 0.500 0.000 0.000
B 0.500 0.500 0.500

***

# 4
Diffraction record for Ca5ErAu6. The powder diffraction line list is simulated, not measured: it uses DFT lattice parameters and positions (GGA-PBE) and Cu Kα X-rays.

Principal peaks in the range 2θ from 15° to 90°, low angle first:
- 2θ 24.55, I 39
- 2θ 34.97, I 100
- 2θ 35.11, I 20
- 2θ 50.21, I 7
- 2θ 50.39, I 14
- 2θ 56.70, I 8
- 2θ 62.69, I 20
- 2θ 62.75, I 7
- 2θ 62.91, I 15
- 2θ 73.88, I 10

Cell and atoms:
Lattice parameters (Å, degrees): 8.113 8.113 7.268 90.00 90.00 143.28
Atoms (fractional coordinates):
Ca 0.000 0.000 0.000
Ca 0.330 0.670 0.500
Ca 0.334 0.666 0.000
Ca 0.666 0.334 0.000
Ca 0.670 0.330 0.500
Er 0.000 0.000 0.500
Au 0.159 0.841 0.256
Au 0.159 0.841 0.744
Au 0.500 0.500 0.269
Au 0.500 0.500 0.731
Au 0.841 0.159 0.256
Au 0.841 0.159 0.744

***

# 5
Diffraction record for ThPaCo. The powder diffraction line list is simulated, not measured: it uses DFT lattice parameters and positions (GGA-PBE) and Cu Kα X-rays.

Principal peaks in the range 2θ from 15° to 90°, low angle first:
- 2θ 27.73, I 49
- 2θ 28.56, I 38
- 2θ 28.85, I 60
- 2θ 31.97, I 23
- 2θ 32.59, I 100
- 2θ 34.59, I 63
- 2θ 35.30, I 24
- 2θ 44.71, I 23
- 2θ 51.63, I 23
- 2θ 57.27, I 19

Cell and atoms:
Lattice parameters (Å, degrees): 6.662 6.077 8.673 90.00 122.83 90.00
Atoms (fractional coordinates):
Th 0.203 0.108 0.407
Th 0.203 0.392 0.907
Th 0.797 0.608 0.093
Th 0.797 0.892 0.593
Pa 0.360 0.602 0.618
Pa 0.360 0.898 0.118
Pa 0.640 0.102 0.882
Pa 0.640 0.398 0.382
Co 0.287 0.666 0.311
Co 0.287 0.834 0.811
Co 0.713 0.166 0.189
Co 0.713 0.334 0.689

***

# 6
Diffraction record for Li3Pr2S4. The powder diffraction line list is simulated, not measured: it uses DFT lattice parameters and positions (GGA-PBE) and Cu Kα X-rays.

Principal peaks in the range 2θ from 15° to 90°, low angle first:
- 2θ 26.34, I 80
- 2θ 26.45, I 48
- 2θ 28.71, I 19
- 2θ 31.88, I 100
- 2θ 32.19, I 56
- 2θ 35.94, I 20
- 2θ 36.40, I 37
- 2θ 45.13, I 57
- 2θ 46.79, I 42
- 2θ 56.56, I 23

Cell and atoms:
Lattice parameters (Å, degrees): 4.020 4.020 14.122 90.76 90.76 59.89
Atoms (fractional coordinates):
Li 0.000 0.000 0.000
Li 0.345 0.345 0.400
Li 0.655 0.655 0.600
Pr 0.326 0.326 0.781
Pr 0.674 0.674 0.219
S 0.011 0.011 0.351
S 0.337 0.337 0.104
S 0.663 0.663 0.896
S 0.989 0.989 0.649

***

# 7
Diffraction record for Sm7Hg2Ru2. The powder diffraction line list is simulated, not measured: it uses DFT lattice parameters and positions (GGA-PBE) and Cu Kα X-rays.

Principal peaks in the range 2θ from 15° to 90°, low angle first:
- 2θ 20.09, I 27
- 2θ 25.32, I 40
- 2θ 27.34, I 30
- 2θ 28.16, I 47
- 2θ 29.39, I 30
- 2θ 32.11, I 63
- 2θ 36.38, I 45
- 2θ 37.07, I 100
- 2θ 43.44, I 21
- 2θ 50.34, I 20

Cell and atoms:
Lattice parameters (Å, degrees): 6.875 6.875 7.251 90.00 90.00 108.36
Atoms (fractional coordinates):
Sm 0.000 0.000 0.000
Sm 0.000 0.500 0.253
Sm 0.000 0.500 0.747
Sm 0.500 0.000 0.253
Sm 0.500 0.000 0.747
Sm 0.500 0.500 0.243
Sm 0.500 0.500 0.757
Hg 0.180 0.180 0.500
Hg 0.820 0.820 0.500
Ru 0.295 0.705 0.000
Ru 0.705 0.295 0.000

***

# 8
Diffraction record for CsZnSbTeHO. The powder diffraction line list is simulated, not measured: it uses DFT lattice parameters and positions (GGA-PBE) and Cu Kα X-rays.

Principal peaks in the range 2θ from 15° to 90°, low angle first:
- 2θ 22.88, I 61
- 2θ 25.67, I 44
- 2θ 29.72, I 100
- 2θ 32.60, I 67
- 2θ 34.67, I 36
- 2θ 35.17, I 27
- 2θ 46.86, I 27
- 2θ 48.78, I 20
- 2θ 52.29, I 17
- 2θ 52.78, I 14

Cell and atoms:
Lattice parameters (Å, degrees): 5.227 3.875 7.953 90.00 102.48 90.00
Atoms (fractional coordinates):
Cs 0.000 0.000 0.000
Zn 0.426 0.500 0.724
Sb 0.572 0.000 0.430
Te 0.038 0.500 0.435
H 0.420 0.500 0.927
O 0.586 0.000 0.687